Diffraction record for Li3CrO. The PXRD pattern is calculated, not measured: it uses a PBE+U-relaxed structure and Cu Kα (λ = 1.5418 Å).

Atomic structure:
```
Li3CrO
1.0
4.0649 0.0000 0.0000
0.0000 4.0649 0.0000
0.0000 0.0000 4.0649
Li Cr O
3 1 1
direct
0.0000 0.0000 0.5000
0.0000 0.5000 0.0000
0.5000 0.0000 0.0000
0.5000 0.5000 0.5000
0.0000 0.0000 0.0000
```

Largest 10 diffraction maxima, most intense first, 10° ≤ 2θ ≤ 80°:
| (hkl) | two_theta | I_rel |
| --- | --- | --- |
| 1 1 0 | 31.12 | 100 |
| 2 1 1 | 55.36 | 31 |
| 2 0 0 | 44.58 | 29 |
| 1 0 0 | 21.86 | 28 |
| 1 1 1 | 38.35 | 24 |
| 2 2 0 | 64.88 | 16 |
| 2 1 0 | 50.18 | 12 |
| 3 1 0 | 73.70 | 11 |
| 3 1 1 | 77.95 | 8 |
| 3 0 0 | 69.35 | 5 |